Calculated powder XRD pattern
Compound: Li3Ni5O10
Radiation: CuKα
Structure: a crystal structure in the Materials Project, relaxed with GGA+U

Most intense lines, 10° ≤ 2θ ≤ 80°, by intensity:
- d = 4.762 Å, I = 100, (0 1 0)
- d = 6.755 Å, I = 60, (0 0 1)
- d = 2.032 Å, I = 46, (2 -1 1)
- d = 2.041 Å, I = 45, (1 1 -2)
- d = 2.019 Å, I = 44, (1 2 3)
- d = 4.716 Å, I = 38, (1 0 0)
- d = 3.214 Å, I = 28, (0 1 2)
- d = 1.438 Å, I = 24, (1 -2 3)
- d = 3.832 Å, I = 22, (1 1 1)
- d = 2.455 Å, I = 18, (2 0 1)

Crystal structure
```
18
Lattice="5.0024 0.0000 0.0000 0.8998 4.9604 0.0000 2.4109 1.9674 6.7548" Properties=species:S:1:pos:R:3 pbc="T T T"
Li 0.0000 0.0000 0.0000
Li 4.0553 4.2929 6.2041
Li 4.2578 2.6348 0.5507
Ni 2.4473 1.2468 4.0538
Ni 2.4496 0.4014 1.3384
Ni 4.1565 3.4639 3.3774
Ni 5.8635 6.5264 5.4164
Ni 5.8658 5.6810 2.7009
O 0.8323 1.3389 1.1239
O 2.6569 4.7699 3.0042
O 3.4165 2.5952 4.9976
O 2.7348 3.9500 0.2607
O 3.2961 1.7947 2.4004
O 5.0169 5.1330 4.3543
O 5.5783 2.9777 6.4940
O 4.8966 4.3325 1.7571
O 5.6561 2.1579 3.7506
O 7.4808 5.5888 5.6309
```